(1)
Simulated powder X-ray diffraction pattern of Pr6CoOs2I3 for copper Kα, from a cell relaxed with GGA-PBE.
Intensities are scaled so that the largest is 100.

Atomic structure:
a = 7.2289 Å, b = 12.5169 Å, c = 8.5646 Å
α = 90.00°, β = 106.35°, γ = 90.00°
Space group C2/m (No. 12)
Symmetry-distinct sites (fractional):
Pr  0.2272  0.1655  0.1856 x8
Pr  0.2317  0.5000  0.1860 x4
Co  0.0000  0.0000  0.0000 x2
Os  0.0000  0.3336  0.0000 x4
I  0.0000  0.1680  0.5000 x4
I  0.0000  0.5000  0.5000 x2

Largest 6 diffraction maxima, sorted by position, 2θ = 5–70°:
2theta, intensity
10.77, 20
28.63, 100
35.59, 13
38.39, 28
43.37, 38
52.80, 18

(2)
Simulated powder X-ray diffraction pattern of Pa6CoI15 for copper Kα, from a cell relaxed with GGA-PBE.
Intensities are scaled so that the largest is 100.

Atomic structure:
a = 12.1399 Å, b = 12.1399 Å, c = 12.1399 Å
α = 90.00°, β = 90.00°, γ = 90.00°
Space group Im-3m (No. 229)
Symmetry-distinct sites (fractional):
Pa  0.0000  0.0000  0.2227 x12
Co  0.0000  0.0000  0.0000 x2
I  0.0000  0.0000  0.5000 x6
I  0.0000  0.2528  0.2528 x24

Largest 6 diffraction maxima, sorted by position, 2θ = 5–70°:
2theta, intensity
10.31, 58
27.49, 39
29.43, 100
34.66, 25
42.11, 71
69.22, 27

(3)
Simulated powder X-ray diffraction pattern of Pm8CoPd3I4 for copper Kα, from a cell relaxed with GGA-PBE.
Intensities are scaled so that the largest is 100.

Atomic structure:
a = 8.3995 Å, b = 8.3995 Å, c = 24.1352 Å
α = 90.00°, β = 90.00°, γ = 120.00°
Space group R-3m (No. 166, hexagonal axes)
Symmetry-distinct sites (fractional):
Pm  0.0000  0.0000  0.2298 x6
Pm  0.0178  0.5089  0.2283 x18
Co  0.0000  0.0000  0.5000 x3
Pd  0.0000  0.5000  0.5000 x9
I  0.0000  0.0000  0.0000 x3
I  0.0000  0.5000  0.0000 x9

Largest 6 diffraction maxima, sorted by position, 2θ = 5–70°:
2theta, intensity
28.66, 100
30.78, 16
38.78, 27
43.08, 38
52.56, 18
55.58, 19

(4)
Simulated powder X-ray diffraction pattern of Pr9Co2I14 for copper Kα, from a cell relaxed with GGA-PBE.
Intensities are scaled so that the largest is 100.

Atomic structure:
a = 9.3482 Å, b = 9.3482 Å, c = 12.8191 Å
α = 90.00°, β = 90.00°, γ = 120.00°
Space group P-3 (No. 147)
Symmetry-distinct sites (fractional):
Pr  0.0000  0.0000  0.0000 x1
Pr  0.1034  0.3924  0.3356 x6
Pr  0.3333  0.6667  0.0670 x2
Co  0.3333  0.6667  0.2651 x2
I  0.0000  0.0000  0.2577 x2
I  0.0449  0.6824  0.9071 x6
I  0.0866  0.4008  0.5978 x6

Largest 6 diffraction maxima, sorted by position, 2θ = 5–70°:
2theta, intensity
20.22, 56
29.18, 44
30.01, 100
33.20, 67
33.92, 100
36.10, 43

Number 2 is which compound? Pa6CoI15